[1]
Diffraction record for Pr3Pt. The powder XRD pattern is simulated, not measured: it uses a PBE-relaxed structure and Cu Kα.
Intensities are scaled so that the largest is 100.

Largest 10 diffraction maxima, by angle, 10 to 80 degrees two-theta:
two_theta, I/Imax
29.34, 69.8
29.72, 54.8
32.77, 92.5
33.21, 43.0
34.04, 25.5
36.10, 100.0
37.52, 26.9
40.09, 19.3
43.22, 20.1
51.90, 21.3

Cell and atoms:
```
data_Pr3Pt
_symmetry_space_group_name_H-M 'P 42/n'
_symmetry_Int_Tables_number 86
_cell_length_a 12.2222
_cell_length_b 12.2222
_cell_length_c 6.5041
_cell_angle_alpha 90.00
_cell_angle_beta 90.00
_cell_angle_gamma 90.00
loop_
_symmetry_equiv_pos_as_xyz
'x,y,z'
'-x,-y,-z'
'-y,x+1/2,z+1/2'
'y,-x+1/2,-z+1/2'
'-x+1/2,-y+1/2,z'
'x+1/2,y+1/2,-z'
'y+1/2,-x,z+1/2'
'-y+1/2,x,-z+1/2'
loop_
_atom_site_label
_atom_site_fract_x
_atom_site_fract_y
_atom_site_fract_z
_atom_site_occupancy
Pr1 0.0350 0.5912 0.2127 1
Pr2 0.1174 0.1948 0.0186 1
Pr3 0.1208 0.6702 0.7046 1
Pt1 0.0613 0.1825 0.5053 1
```

=====

[2]
Diffraction record for Pr5Pt3. The powder XRD pattern is simulated, not measured: it uses a PBE-relaxed structure and Cu Kα.
Intensities are scaled so that the largest is 100.

Largest 10 diffraction maxima, by angle, 10 to 80 degrees two-theta:
two_theta, I/Imax
21.77, 24.7
27.92, 32.2
31.07, 31.9
31.79, 41.2
34.91, 100.0
35.52, 22.4
36.40, 24.9
44.05, 22.8
44.60, 21.0
69.80, 15.9

Cell and atoms:
```
data_Pr5Pt3
_symmetry_space_group_name_H-M 'P 4/n c c'
_symmetry_Int_Tables_number 130
_cell_length_a 11.4806
_cell_length_b 11.4806
_cell_length_c 6.7306
_cell_angle_alpha 90.00
_cell_angle_beta 90.00
_cell_angle_gamma 90.00
loop_
_symmetry_equiv_pos_as_xyz
'x,y,z'
'-x,-y,-z'
'-y+1/2,x,z'
'y+1/2,-x,-z'
'-x+1/2,-y+1/2,z'
'x+1/2,y+1/2,-z'
'y,-x+1/2,z'
'-y,x+1/2,-z'
'x+1/2,-y,-z+1/2'
'-x+1/2,y,z+1/2'
'-y,-x,-z+1/2'
'y,x,z+1/2'
'-x,y+1/2,-z+1/2'
'x,-y+1/2,z+1/2'
'y+1/2,x+1/2,-z+1/2'
'-y+1/2,-x+1/2,z+1/2'
loop_
_atom_site_label
_atom_site_fract_x
_atom_site_fract_y
_atom_site_fract_z
_atom_site_occupancy
Pr1 0.0433 0.1588 0.1221 1
Pr2 0.2500 0.7500 0.0000 1
Pt1 0.0962 0.5962 0.7500 1
Pt2 0.2500 0.2500 0.3840 1
```

=====

[3]
Diffraction record for PrPt12. The powder XRD pattern is simulated, not measured: it uses a PBE-relaxed structure and Cu Kα.
Intensities are scaled so that the largest is 100.

Largest 10 diffraction maxima, by angle, 10 to 80 degrees two-theta:
two_theta, I/Imax
33.84, 41.9
38.65, 77.5
39.35, 94.2
39.59, 70.0
43.64, 100.0
44.28, 37.9
44.49, 47.9
63.26, 23.7
71.20, 32.8
71.66, 26.4

Cell and atoms:
```
data_PrPt12
_symmetry_space_group_name_H-M 'I 4/m m m'
_symmetry_Int_Tables_number 139
_symmetry_space_group_name_Hall '-I 4 2'
_cell_length_a 9.1065
_cell_length_b 9.1065
_cell_length_c 5.4231
_cell_angle_alpha 90.00
_cell_angle_beta 90.00
_cell_angle_gamma 90.00
loop_
_atom_site_label
_atom_site_fract_x
_atom_site_fract_y
_atom_site_fract_z
_atom_site_occupancy
Pr1 0.0000 0.0000 0.0000 1
Pt1 0.0000 0.2180 0.5000 1
Pt2 0.0000 0.3467 0.0000 1
Pt3 0.2500 0.2500 0.2500 1
```

=====

[4]
Diffraction record for Pr2Pt7. The powder XRD pattern is simulated, not measured: it uses a PBE-relaxed structure and Cu Kα.
Intensities are scaled so that the largest is 100.

Largest 10 diffraction maxima, by angle, 10 to 80 degrees two-theta:
two_theta, I/Imax
18.82, 27.1
32.67, 19.0
37.97, 25.3
38.57, 100.0
40.52, 29.3
42.12, 38.3
42.83, 13.6
44.35, 18.8
62.26, 25.0
68.45, 26.7

Cell and atoms:
```
data_Pr2Pt7
_symmetry_space_group_name_H-M 'R -3 m'
_symmetry_Int_Tables_number 166
_symmetry_space_group_name_Hall '-R 3 2"'
_cell_length_a 5.4826
_cell_length_b 5.4826
_cell_length_c 40.0734
_cell_angle_alpha 90.00
_cell_angle_beta 90.00
_cell_angle_gamma 120.00
loop_
_atom_site_label
_atom_site_fract_x
_atom_site_fract_y
_atom_site_fract_z
_atom_site_occupancy
Pr1 0.0000 0.0000 0.0496 1
Pr2 0.0000 0.0000 0.1474 1
Pt1 0.0000 0.0000 0.2778 1
Pt2 0.0000 0.0000 0.3886 1
Pt3 0.0000 0.0000 0.5000 1
Pt4 0.0000 0.5000 0.0000 1
Pt5 0.0034 0.5017 0.8889 1
```

=====

[5]
Diffraction record for Pr7Pt5. The powder XRD pattern is simulated, not measured: it uses a PBE-relaxed structure and Cu Kα.
Intensities are scaled so that the largest is 100.

Largest 10 diffraction maxima, by angle, 10 to 80 degrees two-theta:
two_theta, I/Imax
21.84, 40.5
22.63, 44.9
28.19, 35.4
29.10, 100.0
29.40, 32.2
30.68, 76.2
31.48, 62.2
35.99, 32.6
38.61, 34.7
44.09, 48.0

Cell and atoms:
```
data_Pr7Pt5
_symmetry_space_group_name_H-M 'C 1 2/m 1'
_symmetry_Int_Tables_number 12
_symmetry_space_group_name_Hall '-C 2y'
_cell_length_a 13.9480
_cell_length_b 4.1083
_cell_length_c 12.5685
_cell_angle_alpha 90.00
_cell_angle_beta 103.93
_cell_angle_gamma 90.00
loop_
_atom_site_label
_atom_site_fract_x
_atom_site_fract_y
_atom_site_fract_z
_atom_site_occupancy
Pr1 0.0000 0.0000 0.0000 1
Pr2 0.0401 0.5000 0.2829 1
Pr3 0.1553 0.0000 0.5478 1
Pr4 0.2443 0.0000 0.8585 1
Pt1 0.0000 0.5000 0.5000 1
Pt2 0.1174 0.5000 0.9225 1
Pt3 0.1980 0.0000 0.3150 1
```

=====

[6]
Diffraction record for PrPu2Pt9. The powder XRD pattern is simulated, not measured: it uses a PBE-relaxed structure and Cu Kα.
Intensities are scaled so that the largest is 100.

Largest 10 diffraction maxima, by angle, 10 to 80 degrees two-theta:
two_theta, I/Imax
30.15, 14.6
32.94, 35.0
38.40, 25.0
38.83, 100.0
40.53, 20.2
40.65, 15.9
41.92, 53.7
62.79, 24.1
69.14, 23.0
72.32, 11.7

Cell and atoms:
```
data_PrPu2Pt9
_symmetry_space_group_name_H-M 'R -3 m'
_symmetry_Int_Tables_number 166
_symmetry_space_group_name_Hall '-R 3 2"'
_cell_length_a 5.4349
_cell_length_b 5.4349
_cell_length_c 26.7068
_cell_angle_alpha 90.00
_cell_angle_beta 90.00
_cell_angle_gamma 120.00
loop_
_atom_site_label
_atom_site_fract_x
_atom_site_fract_y
_atom_site_fract_z
_atom_site_occupancy
Pr1 0.0000 0.0000 0.0000 1
Pu1 0.0000 0.0000 0.1427 1
Pt1 0.0000 0.0000 0.3327 1
Pt2 0.0000 0.0000 0.5000 1
Pt3 0.0036 0.5018 0.9149 1
```

=====

[7]
Diffraction record for PrThPtRh. The powder XRD pattern is simulated, not measured: it uses a PBE-relaxed structure and Cu Kα.
Intensities are scaled so that the largest is 100.

Largest 10 diffraction maxima, by angle, 10 to 80 degrees two-theta:
two_theta, I/Imax
21.39, 7.0
24.75, 1.2
35.28, 100.0
41.63, 4.1
50.76, 18.0
55.69, 1.9
63.33, 37.1
67.67, 1.4
74.62, 11.5
78.68, 1.5

Cell and atoms:
```
data_PrThPtRh
_symmetry_space_group_name_H-M 'F -4 3 m'
_symmetry_Int_Tables_number 216
_symmetry_space_group_name_Hall 'F -4 2 3'
_cell_length_a 7.1946
_cell_length_b 7.1946
_cell_length_c 7.1946
_cell_angle_alpha 90.00
_cell_angle_beta 90.00
_cell_angle_gamma 90.00
loop_
_atom_site_label
_atom_site_fract_x
_atom_site_fract_y
_atom_site_fract_z
_atom_site_occupancy
Pr1 0.0000 0.0000 0.0000 1
Th1 0.0000 0.0000 0.5000 1
Pt1 0.2500 0.2500 0.2500 1
Rh1 0.2500 0.2500 0.7500 1
```